KAlCr2H2O8: calculated powder XRD pattern (copper Kα), based on a DFT-relaxed cell (GGA+U, Alexandria).
No peak broadening, texture or thermal motion is included.

The 10 most intense peaks (2θ from 5° to 70°), by angle:
h k l, 2theta, Rel. int.
2 0 -1, 15.9, 78
2 0 0, 18.0, 100
1 1 -1, 19.9, 32
1 1 1, 25.1, 47
1 1 -2, 27.7, 61
3 1 -1, 28.8, 33
3 1 -2, 31.1, 31
4 0 -1, 31.9, 41
0 2 0, 33.3, 29
1 1 2, 35.2, 28

Structure:
a = 11.4000 Å, b = 5.3883 Å, c = 8.1599 Å
α = 90.00°, β = 120.15°, γ = 90.00°
Space group C2/m (No. 12)
Inequivalent atoms, fractional coordinates:
K 0.0000 0.0000 0.0000 x2
Al 0.0000 0.0000 0.5000 x2
Cr 0.0802 0.5000 0.7672 x4
H 0.1977 0.5000 0.6007 x4
O 0.0123 0.2335 0.3483 x8
O 0.1413 0.5000 0.9940 x4
O 0.2291 0.5000 0.7365 x4